Record 1
ErNi2Ge2: theoretical XRD peak list (λ = 1.5418 Å (Cu Kα)), based on the GGA-PBE geometry in the Materials Project.
Kinematic intensities with the Lorentz-polarization factor, no thermal factor.

Atomic structure:
abc: 4.0448 4.0448 9.7859
angles: 90.00 90.00 90.00
Space group I4/mmm (No. 139)
Inequivalent atoms, fractional coordinates:
Er1 0.0000 0.0000 0.0000 [2 per cell]
Ni1 0.0000 0.5000 0.2500 [4 per cell]
Ge1 0.0000 0.0000 0.3724 [4 per cell]

Largest 10 diffraction maxima, in order of rising 2θ, 5° ≤ 2θ ≤ 70°:
(1 0 1), 2θ 23.80, d = 3.738 Å, intensity 12
(1 1 0), 2θ 31.27, d = 2.860 Å, intensity 30
(1 0 3), 2θ 35.35, d = 2.539 Å, intensity 98
(1 1 2), 2θ 36.39, d = 2.469 Å, intensity 100
(2 0 0), 2θ 44.82, d = 2.022 Å, intensity 65
(1 1 4), 2θ 49.00, d = 1.859 Å, intensity 6
(1 0 5), 2θ 51.90, d = 1.762 Å, intensity 29
(2 1 3), 2θ 58.33, d = 1.582 Å, intensity 46
(2 2 0), 2θ 65.24, d = 1.430 Å, intensity 21
(1 1 6), 2θ 65.93, d = 1.417 Å, intensity 19

=====

Record 2
TmCo12B6: theoretical XRD peak list (λ = 1.5418 Å (Cu Kα)), based on the GGA-PBE geometry in the Materials Project.
Kinematic intensities with the Lorentz-polarization factor, no thermal factor.

Atomic structure:
abc: 9.3850 9.3850 7.3770
angles: 90.00 90.00 120.00
Space group R-3m (No. 166, hexagonal axes)
Inequivalent atoms, fractional coordinates:
Tm1 0.0000 0.0000 0.0000 [3 per cell]
Co1 0.0000 0.3677 0.5000 [18 per cell]
Co2 0.0893 0.1786 0.3641 [18 per cell]
B1 0.0372 0.5186 0.2840 [18 per cell]

Largest 10 diffraction maxima, in order of rising 2θ, 5° ≤ 2θ ≤ 70°:
(2 1 1), 2θ 31.55, d = 2.836 Å, intensity 16
(2 0 2), 2θ 32.79, d = 2.731 Å, intensity 40
(3 0 0), 2θ 33.06, d = 2.709 Å, intensity 33
(1 1 3), 2θ 41.46, d = 2.178 Å, intensity 60
(1 3 1), 2θ 41.91, d = 2.156 Å, intensity 100
(3 1 2), 2θ 47.26, d = 1.923 Å, intensity 24
(3 0 3), 2θ 50.10, d = 1.821 Å, intensity 18
(3 3 0), 2θ 59.06, d = 1.564 Å, intensity 21
(5 0 2), 2θ 62.43, d = 1.487 Å, intensity 19
(1 4 3), 2θ 64.81, d = 1.438 Å, intensity 12

=====

Record 3
Pr2ZrS5: theoretical XRD peak list (λ = 1.5418 Å (Cu Kα)), based on the GGA-PBE geometry in the Materials Project.
Kinematic intensities with the Lorentz-polarization factor, no thermal factor.

Atomic structure:
abc: 11.8375 8.0393 7.4532
angles: 90.00 90.00 90.00
Space group Pnma (No. 62)
Inequivalent atoms, fractional coordinates:
Pr1 0.1771 0.0014 0.0276 [8 per cell]
Zr1 0.0072 0.7500 0.5765 [4 per cell]
S1 0.0046 0.7500 0.9421 [4 per cell]
S2 0.0885 0.0352 0.6593 [8 per cell]
S3 0.1808 0.7500 0.3371 [4 per cell]
S4 0.2052 0.2500 0.3154 [4 per cell]

Largest 10 diffraction maxima, in order of rising 2θ, 5° ≤ 2θ ≤ 70°:
(0 0 2), 2θ 23.88, d = 3.727 Å, intensity 53
(3 0 1), 2θ 25.54, d = 3.487 Å, intensity 100
(1 2 1), 2θ 26.29, d = 3.390 Å, intensity 54
(2 2 0), 2θ 26.81, d = 3.325 Å, intensity 51
(1 2 2), 2θ 33.66, d = 2.663 Å, intensity 30
(3 2 1), 2θ 34.04, d = 2.634 Å, intensity 67
(2 2 2), 2θ 36.20, d = 2.481 Å, intensity 73
(0 4 0), 2θ 45.12, d = 2.009 Å, intensity 40
(5 2 1), 2θ 46.13, d = 1.968 Å, intensity 47
(6 0 2), 2θ 52.53, d = 1.742 Å, intensity 52

=====

Record 4
Np3Se5: theoretical XRD peak list (λ = 1.5418 Å (Cu Kα)), based on the GGA-PBE geometry in the Materials Project.
Kinematic intensities with the Lorentz-polarization factor, no thermal factor.

Atomic structure:
abc: 12.0809 8.2952 7.6528
angles: 90.00 90.00 90.00
Space group Pnma (No. 62)
Inequivalent atoms, fractional coordinates:
Np1 0.0078 0.2500 0.0769 [4 per cell]
Np2 0.1792 0.0024 0.5236 [8 per cell]
Se1 0.0013 0.7500 0.5369 [4 per cell]
Se2 0.0967 0.5482 0.1705 [8 per cell]
Se3 0.1885 0.2500 0.8301 [4 per cell]
Se4 0.2181 0.7500 0.8012 [4 per cell]

Largest 10 diffraction maxima, in order of rising 2θ, 5° ≤ 2θ ≤ 70°:
(0 0 2), 2θ 23.25, d = 3.826 Å, intensity 40
(3 0 1), 2θ 24.99, d = 3.564 Å, intensity 83
(1 2 1), 2θ 25.52, d = 3.491 Å, intensity 53
(2 2 0), 2θ 26.06, d = 3.419 Å, intensity 54
(3 2 1), 2θ 33.14, d = 2.703 Å, intensity 41
(2 2 2), 2θ 35.20, d = 2.550 Å, intensity 100
(4 2 0), 2θ 36.82, d = 2.441 Å, intensity 46
(0 4 0), 2θ 43.65, d = 2.074 Å, intensity 38
(5 2 1), 2θ 45.01, d = 2.014 Å, intensity 66
(3 4 1), 2θ 50.96, d = 1.792 Å, intensity 37

=====

Record 5
NaNb13O33: theoretical XRD peak list (λ = 1.5418 Å (Cu Kα)), based on the GGA-PBE geometry in the Materials Project.
Kinematic intensities with the Lorentz-polarization factor, no thermal factor.

Atomic structure:
abc: 3.8777 11.6094 15.6635
angles: 88.50 89.97 80.40
Space group P1 (No. 1)
Inequivalent atoms, fractional coordinates:
Na1 0.0000 0.0000 0.0000 [1 per cell]
Nb1 0.2143 0.5854 0.1234 [1 per cell]
Nb2 0.2806 0.4480 0.3605 [1 per cell]
Nb3 0.3564 0.3105 0.5935 [1 per cell]
Nb4 0.3645 0.2741 0.0300 [1 per cell]
Nb5 0.4171 0.1730 0.8228 [1 per cell]
Nb6 0.4518 0.1400 0.2686 [1 per cell]
Nb7 0.4955 0.0006 0.4976 [1 per cell]
Nb8 0.5888 0.8255 0.1727 [1 per cell]
Nb9 0.5912 0.8592 0.7258 [1 per cell]
Nb10 0.6430 0.7263 0.9646 [1 per cell]
Nb11 0.6600 0.6897 0.4023 [1 per cell]
Nb12 0.7347 0.5509 0.6351 [1 per cell]
Nb13 0.7973 0.4151 0.8721 [1 per cell]
O1 0.0081 0.0009 0.4971 [1 per cell]
O2 0.0739 0.8592 0.7421 [1 per cell]
O3 0.1126 0.7813 0.1590 [1 per cell]
O4 0.1575 0.6960 0.9918 [1 per cell]
O5 0.1872 0.6402 0.3992 [1 per cell]
O6 0.2427 0.5368 0.2336 [1 per cell]
O7 0.2591 0.5011 0.6351 [1 per cell]
O8 0.2834 0.4452 0.0673 [1 per cell]
O9 0.3114 0.3873 0.4703 [1 per cell]
O10 0.3227 0.3630 0.8865 [1 per cell]
O11 0.3486 0.3059 0.3022 [1 per cell]
O12 0.3822 0.2553 0.7101 [1 per cell]
O13 0.3993 0.2000 0.1321 [1 per cell]
O14 0.4331 0.1637 0.5460 [1 per cell]
O15 0.4353 0.1376 0.9530 [1 per cell]
O16 0.4732 0.0693 0.3772 [1 per cell]
O17 0.4893 0.0233 0.7888 [1 per cell]
O18 0.5118 0.9758 0.2064 [1 per cell]
O19 0.5398 0.9288 0.6163 [1 per cell]
O20 0.5756 0.8619 0.0415 [1 per cell]
O21 0.5881 0.8370 0.4477 [1 per cell]
O22 0.6040 0.7990 0.8618 [1 per cell]
O23 0.6336 0.7422 0.2842 [1 per cell]
O24 0.6599 0.6939 0.6922 [1 per cell]
O25 0.6873 0.6369 0.1081 [1 per cell]
O26 0.7061 0.6117 0.5251 [1 per cell]
O27 0.7283 0.5528 0.9305 [1 per cell]
O28 0.7584 0.4977 0.3601 [1 per cell]
O29 0.7744 0.4667 0.7626 [1 per cell]
O30 0.8286 0.3603 0.5974 [1 per cell]
O31 0.8505 0.3039 0.0019 [1 per cell]
O32 0.8956 0.2189 0.8341 [1 per cell]
O33 0.9317 0.1398 0.2511 [1 per cell]

Largest 10 diffraction maxima, in order of rising 2θ, 5° ≤ 2θ ≤ 70°:
(0 2 1), 2θ 16.35, d = 5.420 Å, intensity 42
(0 1 -3), 2θ 18.87, d = 4.702 Å, intensity 34
(1 1 0), 2θ 23.27, d = 3.823 Å, intensity 91
(0 1 -4), 2θ 24.22, d = 3.674 Å, intensity 100
(0 3 2), 2θ 25.71, d = 3.465 Å, intensity 85
(1 3 1), 2θ 30.66, d = 2.916 Å, intensity 40
(1 -1 3), 2θ 31.21, d = 2.866 Å, intensity 32
(0 4 -2), 2θ 33.64, d = 2.664 Å, intensity 30
(2 1 0), 2θ 46.86, d = 1.939 Å, intensity 38
(1 6 3), 2θ 52.53, d = 1.742 Å, intensity 34